The following is a calculated powder diffractogram of Dy4CN2O. It was derived from a structure optimized by DFT (PBE), using a wavelength of 1.5418 Å.
Kinematic intensities with the Lorentz-polarization factor, no thermal factor.

Lattice parameters (Å, degrees): 6.060 6.060 6.060 132.05 132.05 70.15
Sites, in units of the cell vectors:
Dy (0.000, 0.500, 0.500)
Dy (0.247, 0.247, 0.000)
Dy (0.500, 0.000, 0.500)
Dy (0.753, 0.753, 0.000)
C (0.000, 0.000, 0.000)
N (0.250, 0.750, 0.500)
N (0.750, 0.250, 0.500)
O (0.500, 0.500, 0.000)

The 8 most intense peaks (10° ≤ 2θ ≤ 90°), sorted by position:
Position (°2θ), I/Imax
31.4, 100
36.2, 24
36.5, 47
52.4, 33
52.6, 16
62.2, 15
62.5, 30
65.5, 17


The following is a calculated powder diffractogram of DyNb2TcC4. It was derived from a structure optimized by DFT (PBE), using a wavelength of 1.5418 Å.
Kinematic intensities with the Lorentz-polarization factor, no thermal factor.

Lattice parameters (Å, degrees): 5.890 5.890 11.201 90.00 90.00 147.95
Sites, in units of the cell vectors:
Dy (0.112, 0.888, 0.750)
Dy (0.888, 0.112, 0.250)
Nb (0.370, 0.630, 0.535)
Nb (0.370, 0.630, 0.965)
Nb (0.630, 0.370, 0.035)
Nb (0.630, 0.370, 0.465)
Tc (0.153, 0.847, 0.250)
Tc (0.847, 0.153, 0.750)
C (0.000, 0.000, 0.000)
C (0.000, 0.000, 0.500)
C (0.263, 0.737, 0.115)
C (0.263, 0.737, 0.385)
C (0.446, 0.554, 0.750)
C (0.554, 0.446, 0.250)
C (0.737, 0.263, 0.615)
C (0.737, 0.263, 0.885)

The 8 most intense peaks (10° ≤ 2θ ≤ 90°), sorted by position:
Position (°2θ), I/Imax
28.6, 29
31.6, 53
32.0, 51
32.8, 100
37.4, 23
40.0, 85
45.6, 32
51.8, 22


The following is a calculated powder diffractogram of Dy2UNbC4. It was derived from a structure optimized by DFT (PBE), using a wavelength of 1.5418 Å.
Kinematic intensities with the Lorentz-polarization factor, no thermal factor.

Lattice parameters (Å, degrees): 6.896 6.896 6.896 120.66 119.12 90.20
Sites, in units of the cell vectors:
Dy (0.000, 0.000, 0.000)
Dy (0.500, 0.000, 0.000)
Dy (0.500, 0.000, 0.500)
Dy (0.500, 0.500, 0.500)
U (0.000, 0.500, 0.500)
U (0.500, 0.500, 0.000)
Nb (0.000, 0.000, 0.500)
Nb (0.000, 0.500, 0.000)
C (0.217, 0.740, 0.477)
C (0.234, 0.257, 0.522)
C (0.234, 0.712, 0.978)
C (0.237, 0.260, 0.977)
C (0.763, 0.740, 0.023)
C (0.766, 0.288, 0.022)
C (0.766, 0.743, 0.478)
C (0.783, 0.260, 0.523)

The 8 most intense peaks (10° ≤ 2θ ≤ 90°), sorted by position:
Position (°2θ), I/Imax
31.5, 100
32.0, 96
36.8, 86
36.9, 42
53.1, 59
62.7, 30
63.6, 29
65.8, 15


The following is a calculated powder diffractogram of NdDyCO. It was derived from a structure optimized by DFT (PBE), using a wavelength of 1.5418 Å.
Kinematic intensities with the Lorentz-polarization factor, no thermal factor.

Lattice parameters (Å, degrees): 6.526 6.526 6.526 151.54 150.19 41.69
Sites, in units of the cell vectors:
Nd (0.000, 0.000, 0.000)
Dy (0.751, 0.251, 0.500)
C (0.340, 0.840, 0.500)
O (0.594, 0.594, 0.000)

The 8 most intense peaks (10° ≤ 2θ ≤ 90°), sorted by position:
Position (°2θ), I/Imax
27.6, 62
28.8, 52
29.3, 53
34.7, 38
35.6, 40
41.7, 100
46.0, 21
60.6, 27